Entry 1:
Structure and theoretical powder X-ray diffraction pattern of Si3Tc5 (a structure optimized by DFT (GGA-PBE); Cu Kα X-rays).
Neutral-atom scattering factors, no anomalous dispersion.

Crystal structure
abc: 7.1125 7.1125 7.1125
angles: 96.72 96.72 140.00
Positions (direct):
Si1 0.1699 0.6699 0.8398
Si2 0.2500 0.2500 0.0000
Si3 0.3301 0.1699 0.5000
Si4 0.6699 0.8301 0.5000
Si5 0.7500 0.7500 0.0000
Si6 0.8301 0.3301 0.1602
Tc1 0.0749 0.2223 0.2973
Tc2 0.2223 0.9251 0.1474
Tc3 0.2500 0.7500 0.5000
Tc4 0.2777 0.4251 0.7027
Tc5 0.4251 0.7223 0.1474
Tc6 0.5749 0.2777 0.8526
Tc7 0.7223 0.5749 0.2973
Tc8 0.7500 0.2500 0.5000
Tc9 0.7777 0.0749 0.8526
Tc10 0.9251 0.7777 0.7027

Largest 8 diffraction maxima, by intensity, 10° ≤ 2θ ≤ 90°:
- d 2.074, I = 100
- d 2.308, I = 69
- d 1.967, I = 56
- d 2.114, I = 53
- d 2.163, I = 35
- d 3.191, I = 30
- d 2.989, I = 27
- d 2.432, I = 26



Entry 2:
Structure and theoretical powder X-ray diffraction pattern of Si7Tc4 (a structure optimized by DFT (GGA-PBE); Cu Kα X-rays).
Neutral-atom scattering factors, no anomalous dispersion.

Crystal structure
abc: 5.7672 5.7672 18.1782
angles: 90.00 90.00 90.00
Positions (direct):
Si1 0.1501 0.1925 0.1147
Si2 0.1501 0.8075 0.6147
Si3 0.1529 0.3286 0.8166
Si4 0.1529 0.6714 0.3166
Si5 0.1925 0.1501 0.3853
Si6 0.1925 0.8499 0.8853
Si7 0.2277 0.3493 0.5397
Si8 0.2277 0.6507 0.0397
Si9 0.3286 0.1529 0.6834
Si10 0.3286 0.8471 0.1834
Si11 0.3407 0.3407 0.2500
Si12 0.3407 0.6593 0.7500
Si13 0.3493 0.2277 0.9603
Si14 0.3493 0.7723 0.4603
Si15 0.6507 0.2277 0.4603
Si16 0.6507 0.7723 0.9603
Si17 0.6593 0.3407 0.7500
Si18 0.6593 0.6593 0.2500
Si19 0.6714 0.1529 0.1834
Si20 0.6714 0.8471 0.6834
Si21 0.7723 0.3493 0.0397
Si22 0.7723 0.6507 0.5397
Si23 0.8075 0.1501 0.8853
Si24 0.8075 0.8499 0.3853
Si25 0.8471 0.3286 0.3166
Si26 0.8471 0.6714 0.8166
Si27 0.8499 0.1925 0.6147
Si28 0.8499 0.8075 0.1147
Tc1 0.0000 0.0000 0.0000
Tc2 0.0000 0.0000 0.2500
Tc3 0.0000 0.0000 0.5000
Tc4 0.0000 0.0000 0.7500
Tc5 0.0000 0.5000 0.1926
Tc6 0.0000 0.5000 0.4352
Tc7 0.0000 0.5000 0.6926
Tc8 0.0000 0.5000 0.9352
Tc9 0.5000 0.0000 0.0648
Tc10 0.5000 0.0000 0.3074
Tc11 0.5000 0.0000 0.5648
Tc12 0.5000 0.0000 0.8074
Tc13 0.5000 0.5000 0.1302
Tc14 0.5000 0.5000 0.3698
Tc15 0.5000 0.5000 0.6302
Tc16 0.5000 0.5000 0.8698

Largest 8 diffraction maxima, by intensity, 10° ≤ 2θ ≤ 90°:
- d 2.243, I = 100
- d 3.570, I = 77
- d 1.985, I = 60
- d 2.884, I = 43
- d 1.771, I = 37
- d 2.039, I = 35
- d 1.422, I = 23
- d 1.290, I = 16



Entry 3:
Structure and theoretical powder X-ray diffraction pattern of Si2Tc2Te (a structure optimized by DFT (GGA-PBE); Cu Kα X-rays).
Neutral-atom scattering factors, no anomalous dispersion.

Crystal structure
abc: 3.5132 3.5132 13.1694
angles: 90.00 90.00 90.00
Positions (direct):
Si1 0.0000 0.5000 0.2500
Si2 0.0000 0.5000 0.7500
Si3 0.5000 0.0000 0.2500
Si4 0.5000 0.0000 0.7500
Tc1 0.0000 0.0000 0.1179
Tc2 0.0000 0.0000 0.8821
Tc3 0.5000 0.5000 0.3821
Tc4 0.5000 0.5000 0.6179
Te1 0.0000 0.0000 0.5000
Te2 0.5000 0.5000 0.0000

Largest 8 diffraction maxima, by intensity, 10° ≤ 2θ ≤ 90°:
- d 2.743, I = 100
- d 2.107, I = 66
- d 2.484, I = 45
- d 2.324, I = 41
- d 1.757, I = 31
- d 1.349, I = 31
- d 1.479, I = 29
- d 6.585, I = 21